# SrCoGe2Ir
Computed powder X-ray diffraction pattern, a wavelength of 1.5418 Å. Input: a GGA-PBE-relaxed structure.
No peak broadening, texture or thermal motion is included.

Atomic structure:
abc: 4.138 4.138 10.932
angles: 90.00 90.00 90.00
Space group I-4m2 (No. 119)
Symmetry-distinct sites (fractional):
Sr  0.000  0.000  0.000 (multiplicity 2)
Co  0.000  0.500  0.750 (multiplicity 2)
Ge  0.000  0.000  0.366 (multiplicity 4)
Ir  0.000  0.500  0.250 (multiplicity 2)

Top 10 peaks for 15 to 90 degrees two-theta, low angle first:
- 2θ = 16.22°, d 5.466, I 50, (0 0 2)
- 2θ = 22.98°, d 3.870, I 43, (1 0 1)
- 2θ = 32.75°, d 2.735, I 78, (1 0 3)
- 2θ = 34.77°, d 2.580, I 100, (1 1 2)
- 2θ = 43.75°, d 2.069, I 60, (2 0 0)
- 2θ = 45.41°, d 1.997, I 44, (1 1 4)
- 2θ = 46.98°, d 1.934, I 31, (1 0 5)
- 2θ = 55.71°, d 1.650, I 39, (2 1 3)
- 2θ = 59.79°, d 1.547, I 30, (1 1 6)
- 2θ = 63.61°, d 1.463, I 23, (2 2 0)